[1]
Theoretical X-ray diffraction stick pattern
Compound: Li10Mn3Cr3Co2O16
Radiation: λ = 1.5418 Å (Cu Kα)
Structure: the PBE+U geometry in Alexandria

Structural model:
Unit cell a=5.9094 b=6.0449 c=9.8906 alpha=91.40 beta=90.73 gamma=118.54
Element x y z (fractional)
1 Li 0.0000 0.0000 0.0000
2 Li 0.0092 0.6037 0.0015
3 Li 0.1509 0.8642 0.2226
4 Li 0.2032 0.3924 0.5104
5 Li 0.4246 0.9827 0.0000
6 Li 0.5015 0.5646 0.7260
7 Li 0.5975 0.7907 0.4926
8 Li 0.6325 0.4002 0.5075
9 Li 0.8140 0.1848 0.4266
10 Li 0.8247 0.2263 0.9259
11 Mn 0.4887 0.0481 0.7259
12 Mn 0.6435 0.8523 0.2271
13 Mn 0.6447 0.3609 0.2289
14 Cr 0.1483 0.3590 0.2286
15 Cr 0.9933 0.0490 0.7278
16 Cr 0.9948 0.5554 0.7288
17 Co 0.1474 0.8625 0.4703
18 Co 0.4765 0.5184 0.9720
19 O 0.1384 0.8732 0.8500
20 O 0.1483 0.3797 0.8460
21 O 0.3142 0.1842 0.6128
22 O 0.3144 0.7181 0.6148
23 O 0.3173 0.6789 0.1148
24 O 0.3272 0.2091 0.1117
25 O 0.4711 0.4965 0.3506
26 O 0.4844 0.9914 0.3528
27 O 0.6640 0.3838 0.8384
28 O 0.6640 0.9105 0.8400
29 O 0.7956 0.7050 0.1040
30 O 0.8171 0.2172 0.1129
31 O 0.8386 0.7243 0.6091
32 O 0.8510 0.2318 0.6123
33 O 0.9618 0.5048 0.3459
34 O 0.9778 0.0307 0.3361

Main lines, by angle (10 to 90 degrees two-theta):
2theta  I/Imax
17.9  100
18.7  38
19.1  34
19.5  66
35.2  58
35.6  32
43.0  41
43.8  36
44.6  65
60.7  33

[2]
Theoretical X-ray diffraction stick pattern
Compound: Li2CrCo3O8
Radiation: λ = 1.5418 Å (Cu Kα)
Structure: the PBE+U geometry in Alexandria

Structural model:
Unit cell a=5.6943 b=5.6943 c=9.3322 alpha=90.19 beta=90.19 gamma=120.21
Element x y z (fractional)
1 Li 0.0000 0.0000 0.0000
2 Li 0.0000 0.0000 0.5000
3 Li 0.3312 0.6601 0.3961
4 Li 0.6601 0.3312 0.8961
5 Cr 0.3341 0.6713 0.9867
6 Cr 0.6713 0.3341 0.4867
7 Co 0.1649 0.3351 0.7139
8 Co 0.1647 0.8293 0.7135
9 Co 0.3351 0.1649 0.2139
10 Co 0.6579 0.8286 0.7161
11 Co 0.8293 0.1647 0.2135
12 Co 0.8286 0.6579 0.2161
13 O 0.0355 0.5182 0.8336
14 O 0.1615 0.3245 0.1099
15 O 0.1659 0.8427 0.1077
16 O 0.3245 0.1615 0.6099
17 O 0.3291 0.6641 0.6098
18 O 0.4736 0.5145 0.8358
19 O 0.4746 0.9611 0.8345
20 O 0.5145 0.4736 0.3358
21 O 0.5182 0.0355 0.3336
22 O 0.6641 0.3291 0.1098
23 O 0.6752 0.8426 0.1071
24 O 0.8427 0.1659 0.6077
25 O 0.8426 0.6752 0.6071
26 O 0.9611 0.4746 0.3345
27 O 0.9984 0.9991 0.8117
28 O 0.9991 0.9984 0.3117

Main lines, by angle (10 to 90 degrees two-theta):
2theta  I/Imax
19.0  100
20.4  79
20.5  35
26.3  24
34.0  26
36.9  32
37.7  45
41.4  30
47.0  51
65.6  31

[3]
Theoretical X-ray diffraction stick pattern
Compound: Li2CrCo3O8
Radiation: λ = 1.5418 Å (Cu Kα)
Structure: the PBE+U geometry in Alexandria

Structural model:
Unit cell a=5.7496 b=5.7496 c=5.9403 alpha=119.48 beta=119.48 gamma=60.60
Element x y z (fractional)
1 Li 0.0000 0.0000 0.0000
2 Li 0.5000 0.5000 0.0000
3 Cr 0.0000 0.0000 0.5000
4 Co 0.0000 0.5000 0.5000
5 Co 0.5000 0.0000 0.5000
6 Co 0.5000 0.5000 0.5000
7 O 0.2276 0.7302 0.7116
8 O 0.2446 0.2446 0.7042
9 O 0.2644 0.2644 0.3071
10 O 0.2698 0.7724 0.2884
11 O 0.7302 0.2276 0.7116
12 O 0.7356 0.7356 0.6929
13 O 0.7554 0.7554 0.2958
14 O 0.7724 0.2698 0.2884

Main lines, by angle (10 to 90 degrees two-theta):
2theta  I/Imax
18.2  100
36.3  22
36.8  15
38.1  9
43.6  36
44.4  17
57.2  10
63.2  9
64.9  9
81.5  8

[4]
Theoretical X-ray diffraction stick pattern
Compound: Li3CrCo3O8
Radiation: λ = 1.5418 Å (Cu Kα)
Structure: the PBE+U geometry in Alexandria

Structural model:
Unit cell a=5.7873 b=5.7873 c=5.8767 alpha=119.23 beta=119.23 gamma=60.68
Element x y z (fractional)
1 Li 0.0000 0.0000 0.0000
2 Li 0.0000 0.5000 0.0000
3 Li 0.5000 0.0000 0.0000
4 Cr 0.5000 0.5000 0.5000
5 Co 0.0000 0.0000 0.5000
6 Co 0.0000 0.5000 0.5000
7 Co 0.5000 0.0000 0.5000
8 O 0.2217 0.7463 0.7066
9 O 0.2253 0.2253 0.7240
10 O 0.2537 0.7783 0.2934
11 O 0.2555 0.2555 0.2763
12 O 0.7445 0.7445 0.7237
13 O 0.7463 0.2217 0.7066
14 O 0.7747 0.7747 0.2760
15 O 0.7783 0.2537 0.2934

Main lines, by angle (10 to 90 degrees two-theta):
2theta  I/Imax
18.3  100
36.1  26
36.5  11
37.7  8
43.7  43
44.0  20
57.5  9
63.0  11
64.4  11
67.6  9

[5]
Theoretical X-ray diffraction stick pattern
Compound: Li4Cr3CoO8
Radiation: λ = 1.5418 Å (Cu Kα)
Structure: the PBE+U geometry in Alexandria

Structural model:
Unit cell a=5.0786 b=5.8699 c=5.1180 alpha=90.00 beta=109.27 gamma=90.00
Element x y z (fractional)
1 Li 0.0000 0.0000 0.0000
2 Li 0.0000 0.5000 0.0000
3 Li 0.5000 0.2434 0.0000
4 Li 0.5000 0.7566 0.0000
5 Cr 0.0000 0.2473 0.5000
6 Cr 0.0000 0.7527 0.5000
7 Cr 0.5000 0.5000 0.5000
8 Co 0.5000 0.0000 0.5000
9 O 0.2404 0.5000 0.7273
10 O 0.2495 0.0000 0.7227
11 O 0.2625 0.2437 0.2765
12 O 0.2625 0.7563 0.2765
13 O 0.7375 0.2437 0.7235
14 O 0.7375 0.7563 0.7235
15 O 0.7505 0.0000 0.2773
16 O 0.7596 0.5000 0.2727

Main lines, by angle (10 to 90 degrees two-theta):
2theta  I/Imax
18.4  100
35.9  26
35.9  13
37.5  12
43.5  78
47.6  12
57.4  14
63.0  20
63.4  21
66.6  14

[6]
Theoretical X-ray diffraction stick pattern
Compound: Li4Cr5Co3O16
Radiation: λ = 1.5418 Å (Cu Kα)
Structure: the PBE+U geometry in Alexandria

Structural model:
Unit cell a=5.7665 b=5.7892 c=9.4321 alpha=89.76 beta=89.82 gamma=60.23
Element x y z (fractional)
1 Li 0.0000 0.0000 0.0000
2 Li 0.9997 0.0004 0.4964
3 Li 0.3508 0.3196 0.3919
4 Li 0.6916 0.6623 0.8984
5 Cr 0.1774 0.6629 0.7095
6 Cr 0.1833 0.1658 0.7152
7 Cr 0.3454 0.8310 0.2094
8 Cr 0.3493 0.3358 0.9866
9 Cr 0.6752 0.6582 0.4829
10 Co 0.6731 0.1695 0.7151
11 Co 0.8400 0.3348 0.2142
12 Co 0.8413 0.8255 0.2157
13 O 0.0020 0.9999 0.8128
14 O 0.0025 0.0007 0.3102
15 O 0.0572 0.4829 0.8400
16 O 0.1752 0.1604 0.1058
17 O 0.1804 0.6709 0.1067
18 O 0.3392 0.8233 0.6027
19 O 0.3571 0.3272 0.6048
20 O 0.4987 0.4787 0.8349
21 O 0.5067 0.0353 0.8406
22 O 0.5311 0.9514 0.3362
23 O 0.5327 0.5113 0.3336
24 O 0.6867 0.6575 0.1082
25 O 0.6888 0.1640 0.1082
26 O 0.8425 0.3178 0.6011
27 O 0.8477 0.8289 0.6068
28 O 0.9733 0.5100 0.3336

Main lines, by angle (10 to 90 degrees two-theta):
2theta  I/Imax
18.8  88
20.1  100
25.9  28
33.6  24
36.4  32
37.0  22
37.2  31
40.8  33
46.3  50
61.6  26

[7]
Theoretical X-ray diffraction stick pattern
Compound: Li3Cr2Co2O8
Radiation: λ = 1.5418 Å (Cu Kα)
Structure: the PBE+U geometry in Alexandria

Structural model:
Unit cell a=5.7745 b=5.7745 c=5.8155 alpha=119.40 beta=119.40 gamma=59.84
Element x y z (fractional)
1 Li 0.0000 0.0000 0.0000
2 Li 0.0000 0.5000 0.5000
3 Li 0.5000 0.0000 0.5000
4 Cr 0.5000 0.5000 0.0000
5 Cr 0.5000 0.5000 0.5000
6 Co 0.0000 0.5000 0.0000
7 Co 0.5000 0.0000 0.0000
8 O 0.2567 0.2567 0.2346
9 O 0.2581 0.7170 0.2256
10 O 0.2618 0.2618 0.7848
11 O 0.2830 0.7419 0.7744
12 O 0.7170 0.2581 0.2256
13 O 0.7382 0.7382 0.2152
14 O 0.7419 0.2830 0.7744
15 O 0.7433 0.7433 0.7654

Main lines, by angle (10 to 90 degrees two-theta):
2theta  I/Imax
18.5  50
18.8  100
36.2  17
36.4  24
36.6  11
38.1  16
43.9  34
44.3  66
63.7  18
64.6  18

[8]
Theoretical X-ray diffraction stick pattern
Compound: Li3CrCo3O8
Radiation: λ = 1.5418 Å (Cu Kα)
Structure: the PBE+U geometry in Alexandria

Structural model:
Unit cell a=5.9016 b=5.9016 c=10.0221 alpha=106.39 beta=106.39 gamma=59.35
Element x y z (fractional)
1 Li 0.0000 0.5000 0.5000
2 Li 0.2275 0.2708 0.2454
3 Li 0.2708 0.2275 0.7454
4 Li 0.5000 0.0000 0.0000
5 Li 0.7292 0.7725 0.2546
6 Li 0.7725 0.7292 0.7546
7 Cr 0.2294 0.7706 0.2500
8 Cr 0.7706 0.2294 0.7500
9 Co 0.0000 0.0000 0.0000
10 Co 0.0000 0.0000 0.5000
11 Co 0.2715 0.7285 0.7500
12 Co 0.5000 0.5000 0.0000
13 Co 0.5000 0.5000 0.5000
14 Co 0.7285 0.2715 0.2500
15 O 0.0695 0.1367 0.3666
16 O 0.1057 0.6648 0.3777
17 O 0.1367 0.0695 0.8666
18 O 0.1709 0.6106 0.8700
19 O 0.3352 0.8943 0.1223
20 O 0.3894 0.8291 0.6300
21 O 0.3910 0.4007 0.1312
22 O 0.4007 0.3910 0.6312
23 O 0.5993 0.6090 0.3688
24 O 0.6090 0.5993 0.8688
25 O 0.6106 0.1709 0.3700
26 O 0.6648 0.1057 0.8777
27 O 0.8291 0.3894 0.1300
28 O 0.8633 0.9305 0.1334
29 O 0.8943 0.3352 0.6223
30 O 0.9305 0.8633 0.6334

Main lines, by angle (10 to 90 degrees two-theta):
2theta  I/Imax
18.3  100
36.1  25
36.4  11
37.7  8
43.6  40
43.9  21
57.4  9
63.0  10
64.2  11
67.4  9